Record 1
YAl2Ir: theoretical powder diffraction line list (Cu Kα (λ = 1.5418 Å)), based on a PBE-relaxed structure.
Peak positions follow from Bragg's law for the DFT cell and can differ from measured ones.

The 10 most intense peaks (15° ≤ 2θ ≤ 90°), by intensity:
d (Å)  Position (°2θ)  I (rel.)
2.482  36.2  100
3.543  25.1  74
2.585  34.7  40
3.343  26.7  37
3.819  23.3  34
1.763  51.9  27
2.501  35.9  25
2.354  38.2  25
2.004  45.3  25
1.771  51.6  25

Structure:
```
32
Lattice="15.1647 0.0000 0.0000 0.0000 7.0856 0.0000 0.0000 0.0000 5.6566" Properties=species:S:1:pos:R:3 pbc="T T T"
Y 1.5216 1.7714 1.3684
Y 2.0902 5.3142 2.6345
Y 5.4922 1.7714 5.4628
Y 6.0608 5.3142 4.1967
Y 9.1040 1.7714 1.4599
Y 9.6726 5.3142 0.1938
Y 13.0745 1.7714 3.0222
Y 13.6431 5.3142 4.2882
Al 0.6462 0.4194 4.2845
Al 0.6462 3.1234 4.2845
Al 3.1966 3.9132 5.3400
Al 3.1966 6.7152 5.3400
Al 4.3858 0.3704 2.5117
Al 4.3858 3.1724 2.5117
Al 6.9361 3.9622 1.4562
Al 6.9361 6.6662 1.4562
Al 8.2286 0.4194 4.2005
Al 8.2286 3.1234 4.2005
Al 10.7789 3.9132 3.1449
Al 10.7789 6.7152 3.1449
Al 11.9681 0.3704 0.3166
Al 11.9681 3.1724 0.3166
Al 14.5185 3.9622 1.3722
Al 14.5185 6.6662 1.3722
Ir 1.0703 5.3142 5.5991
Ir 2.8643 1.7714 4.0175
Ir 4.7181 5.3142 1.1892
Ir 6.5120 1.7714 2.7708
Ir 8.6527 5.3142 2.8859
Ir 10.4466 1.7714 4.4674
Ir 12.3005 5.3142 1.6391
Ir 14.0944 1.7714 0.0575
```

***

Record 2
Na17Ga11Ag: theoretical powder diffraction line list (Cu Kα (λ = 1.5418 Å)), based on a PBE-relaxed structure.
Peak positions follow from Bragg's law for the DFT cell and can differ from measured ones.

The 10 most intense peaks (15° ≤ 2θ ≤ 90°), by intensity:
d (Å)  Position (°2θ)  I (rel.)
2.371  38.0  100
4.544  19.5  96
2.629  34.1  81
2.615  34.3  41
2.389  37.6  38
2.640  34.0  32
2.622  34.2  28
4.571  19.4  25
1.517  61.1  18
2.193  41.2  16

Structure:
```
29
Lattice="5.5472 -7.8714 0.0000 5.5472 7.8714 0.0000 -5.4886 0.0000 7.9250" Properties=species:S:1:pos:R:3 pbc="T T T"
Na 0.0000 0.0000 0.0000
Na -3.5516 0.0000 5.1765
Na 0.4187 2.4422 1.9506
Na -1.5833 2.7738 5.1793
Na -1.9629 4.6715 7.6461
Na 3.5579 3.1962 2.6999
Na 0.4187 -2.4422 1.9506
Na 1.4899 2.2086 5.1759
Na -1.5833 -2.7738 5.1793
Na 5.9456 2.4650 0.4668
Na 2.5109 0.0000 2.9327
Na -1.9629 -4.6715 7.6461
Na 1.4899 -2.2086 5.1759
Na 5.5978 0.0000 2.4024
Na 2.5401 0.0000 7.3800
Na 3.5579 -3.1962 2.6999
Na 5.9456 -2.4650 0.4668
Ga 1.0755 5.0813 3.7799
Ga 2.9240 1.4054 0.0298
Ga 1.0183 5.0732 6.5182
Ga 2.9240 -1.4054 0.0298
Ga -0.5990 0.0000 6.6433
Ga 4.6081 1.3801 5.1557
Ga 1.0755 -5.0813 3.7799
Ga 1.0183 -5.0732 6.5182
Ga 4.6081 -1.3801 5.1557
Ga 8.5078 1.3554 2.3356
Ga 8.5078 -1.3554 2.3356
Ag -0.6979 0.0000 3.9011
```

***

Record 3
Dy9Y2Er: theoretical powder diffraction line list (Cu Kα (λ = 1.5418 Å)), based on a PBE-relaxed structure.
Peak positions follow from Bragg's law for the DFT cell and can differ from measured ones.

The 10 most intense peaks (15° ≤ 2θ ≤ 90°), by intensity:
d (Å)  Position (°2θ)  I (rel.)
2.803  31.9  100
2.828  31.6  70
1.478  62.9  29
1.623  56.7  26
1.991  45.6  25
2.956  30.2  19
1.618  56.9  18
1.185  81.2  13
2.525  35.6  12
1.402  66.7  11

Structure:
```
12
Lattice="11.2126 0.0000 0.0000 -5.6063 9.7104 0.0000 0.0000 0.0000 3.4788" Properties=species:S:1:pos:R:3 pbc="T T T"
Dy -2.8032 4.8552 0.0000
Dy 0.0000 3.3977 1.7394
Dy -2.6638 8.0116 1.7394
Dy 2.9425 1.6988 1.7394
Dy 5.6063 0.0000 0.0000
Dy 2.8032 4.8552 0.0000
Dy 2.6638 8.0116 1.7394
Dy 8.2701 1.6988 1.7394
Dy 5.6063 6.3127 1.7394
Y 0.0000 6.4736 0.0000
Y 5.6063 3.2368 0.0000
Er 0.0000 0.0000 0.0000
```